1.
Structure and simulated powder diffractogram of HoTm5Te6 (the GGA-PBE geometry in Alexandria; a wavelength of 1.5418 Å).

Structure:
Lattice parameters (Å, degrees): 7.4583 12.9387 7.4456 90.00 109.53 90.00
Space group C2/m (No. 12)
One atom of each set of equivalent atoms:
1 Ho 0.0000 0.0000 0.0000 x2
2 Tm 0.0000 0.1624 0.5000 x4
3 Tm 0.0000 0.3339 0.0000 x4
4 Tm 0.0000 0.5000 0.5000 x2
5 Te 0.2464 0.5000 0.2487 x4
6 Te 0.2477 0.3315 0.7477 x8

Main lines, most intense first (2θ from 10° to 90°):
| index | 2θ (°) | I/Imax |
| --- | --- | --- |
| 1 3 1 | 29.34 | 100.0 |
| 3 3 -1 | 41.93 | 37.9 |
| 2 0 2 | 42.01 | 37.8 |
| 4 0 0 | 51.99 | 20.3 |
| 5 3 -3 | 68.97 | 17.3 |
| 4 6 -4 | 76.59 | 12.8 |
| 4 0 -4 | 60.86 | 12.6 |
| 3 3 -5 | 69.05 | 11.5 |
| 0 0 4 | 52.14 | 6.7 |
| 6 0 -2 | 76.69 | 6.4 |



2.
Structure and simulated powder diffractogram of HoTm6Te8 (the GGA-PBE geometry in Alexandria; a wavelength of 1.5418 Å).

Structure:
Lattice parameters (Å, degrees): 12.1265 12.1265 12.1265 90.00 90.00 90.00
Space group Fm-3m (No. 225)
One atom of each set of equivalent atoms:
1 Ho 0.0000 0.0000 0.0000 x4
2 Tm 0.0000 0.2500 0.2500 x24
3 Te 0.0000 0.0000 0.2568 x24
4 Te 0.2500 0.2500 0.2500 x8

Main lines, most intense first (2θ from 10° to 90°):
| index | 2θ (°) | I/Imax |
| --- | --- | --- |
| 4 0 0 | 29.46 | 100.0 |
| 4 4 0 | 42.15 | 75.4 |
| 8 4 0 | 69.31 | 34.1 |
| 4 4 4 | 52.27 | 26.8 |
| 8 4 4 | 77.05 | 25.2 |
| 8 0 0 | 61.14 | 12.5 |
| 3 1 1 | 24.34 | 4.2 |
| 1 1 1 | 12.64 | 3.5 |
| 2 0 0 | 14.61 | 3.3 |
| 3 3 1 | 32.18 | 3.2 |



3.
Structure and simulated powder diffractogram of HoTm4Te2 (the GGA-PBE geometry in Alexandria; a wavelength of 1.5418 Å).

Structure:
Lattice parameters (Å, degrees): 5.3668 5.3668 26.3527 90.00 90.00 120.00
Space group R-3m (No. 166, hexagonal axes)
One atom of each set of equivalent atoms:
1 Ho 0.0000 0.0000 0.0000 x3
2 Tm 0.0000 0.0000 0.2363 x6
3 Tm 0.0000 0.0000 0.3656 x6
4 Te 0.0000 0.0000 0.1185 x6

Main lines, most intense first (2θ from 10° to 90°):
| index | 2θ (°) | I/Imax |
| --- | --- | --- |
| 1 1 0 | 33.37 | 100.0 |
| 3 0 0 | 59.66 | 27.2 |
| 2 0 8 | 47.91 | 16.0 |
| 1 1 9 | 45.87 | 12.5 |
| 3 1 8 | 79.89 | 10.2 |
| 0 0 3 | 10.07 | 10.1 |
| 0 0 9 | 30.54 | 8.8 |
| 0 1 17 | 63.25 | 8.2 |
| 2 2 0 | 70.14 | 6.6 |
| 1 2 17 | 83.10 | 6.2 |



4.
Structure and simulated powder diffractogram of Y2HoTmTe5 (the GGA-PBE geometry in Alexandria; a wavelength of 1.5418 Å).

Structure:
Lattice parameters (Å, degrees): 5.4979 5.4979 11.4680 90.00 90.00 90.00
Space group P4/mmm (No. 123)
One atom of each set of equivalent atoms:
1 Y 0.0000 0.0000 0.1530 x2
2 Ho 0.5000 0.5000 0.5000 x1
3 Tm 0.5000 0.5000 0.0000 x1
4 Te 0.0000 0.0000 0.5000 x1
5 Te 0.0000 0.5000 0.0000 x2
6 Te 0.5000 0.5000 0.2536 x2

Main lines, most intense first (2θ from 10° to 90°):
| index | 2θ (°) | I/Imax |
| --- | --- | --- |
| 2 0 0 | 32.57 | 100.0 |
| 1 1 0 | 22.88 | 78.0 |
| 1 0 4 | 35.31 | 44.0 |
| 1 1 3 | 32.86 | 42.1 |
| 2 0 4 | 45.73 | 40.0 |
| 2 2 0 | 46.73 | 36.3 |
| 0 0 2 | 15.45 | 36.2 |
| 2 1 4 | 48.79 | 35.1 |
| 1 0 0 | 16.12 | 31.0 |
| 0 0 4 | 31.20 | 28.7 |



5.
Structure and simulated powder diffractogram of HoU2Te6 (the GGA-PBE geometry in Alexandria; a wavelength of 1.5418 Å).

Structure:
Lattice parameters (Å, degrees): 5.7287 5.7287 21.6735 90.00 90.00 90.00
Space group I-42m (No. 121)
One atom of each set of equivalent atoms:
1 Ho 0.0000 0.0000 0.0000 x2
2 U 0.0000 0.0000 0.3107 x4
3 Te 0.0000 0.5000 0.2500 x4
4 Te 0.2352 0.2352 0.5900 x8

Main lines, most intense first (2θ from 10° to 90°):
| index | 2θ (°) | I/Imax |
| --- | --- | --- |
| 1 0 3 | 19.78 | 100.0 |
| 1 1 6 | 33.23 | 42.5 |
| 1 1 2 | 23.45 | 42.1 |
| 2 1 3 | 37.24 | 41.0 |
| 2 0 4 | 35.45 | 38.4 |
| 2 0 2 | 32.33 | 34.5 |
| 2 2 0 | 44.74 | 33.0 |
| 1 1 8 | 40.04 | 26.1 |
| 2 0 6 | 40.18 | 23.3 |
| 1 1 10 | 47.58 | 20.8 |



6.
Structure and simulated powder diffractogram of HoUTe4 (the GGA-PBE geometry in Alexandria; a wavelength of 1.5418 Å).

Structure:
Lattice parameters (Å, degrees): 4.1804 6.1421 14.0911 90.00 90.00 90.00
Space group Imm2 (No. 44)
One atom of each set of equivalent atoms:
1 Ho 0.0000 0.0000 0.0000 x2
2 U 0.0000 0.0000 0.2739 x2
3 Te 0.0000 0.2514 0.6400 x4
4 Te 0.0000 0.5000 0.3412 x2
5 Te 0.0000 0.5000 0.9328 x2

Main lines, most intense first (2θ from 10° to 90°):
| index | 2θ (°) | I/Imax |
| --- | --- | --- |
| 1 0 3 | 28.59 | 100.0 |
| 1 2 1 | 36.87 | 57.3 |
| 1 1 4 | 36.42 | 40.7 |
| 0 2 2 | 31.79 | 34.6 |
| 0 1 1 | 15.74 | 24.8 |
| 2 0 0 | 43.29 | 21.7 |
| 0 2 4 | 38.91 | 20.3 |
| 1 4 3 | 68.04 | 17.1 |
| 0 1 5 | 35.03 | 16.2 |
| 0 1 7 | 47.53 | 15.4 |



7.
Structure and simulated powder diffractogram of Y3Ho4Te8 (the GGA-PBE geometry in Alexandria; a wavelength of 1.5418 Å).

Structure:
Lattice parameters (Å, degrees): 12.2572 12.2590 8.6676 90.00 134.99 90.00
Space group C2/m (No. 12)
One atom of each set of equivalent atoms:
1 Y 0.0000 0.0000 0.0000 x2
2 Y 0.2500 0.2500 0.0000 x4
3 Ho 0.0000 0.5000 0.0000 x2
4 Ho 0.0000 0.5000 0.5000 x2
5 Ho 0.2500 0.2500 0.5000 x4
6 Te 0.0000 0.2451 0.5000 x4
7 Te 0.0000 0.2508 0.0000 x4
8 Te 0.2458 0.0000 0.5015 x4
9 Te 0.2460 0.0000 0.9903 x4

Main lines, most intense first (2θ from 10° to 90°):
| index | 2θ (°) | I/Imax |
| --- | --- | --- |
| 0 4 0 | 29.14 | 100.0 |
| 4 0 0 | 41.68 | 75.3 |
| 4 0 2 | 68.45 | 33.9 |
| 4 4 0 | 51.66 | 26.7 |
| 4 8 0 | 76.07 | 25.0 |
| 0 8 0 | 60.41 | 12.4 |
| 1 1 0 | 12.51 | 6.4 |
| 1 3 0 | 24.08 | 5.9 |
| 3 3 -2 | 31.82 | 3.9 |
| 2 0 -1 | 14.45 | 3.1 |



8.
Structure and simulated powder diffractogram of YHo3Te3 (the GGA-PBE geometry in Alexandria; a wavelength of 1.5418 Å).

Structure:
Lattice parameters (Å, degrees): 8.9946 8.9946 17.4734 90.00 90.00 120.00
Space group R-3 (No. 148, hexagonal axes)
One atom of each set of equivalent atoms:
1 Y 0.0000 0.0000 0.1989 x6
2 Ho 0.0106 0.2414 0.4121 x18
3 Te 0.0287 0.4044 0.5798 x18

Main lines, most intense first (2θ from 10° to 90°):
| index | 2θ (°) | I/Imax |
| --- | --- | --- |
| 3 -2 2 | 32.08 | 100.0 |
| 2 1 4 | 36.80 | 86.6 |
| 0 0 6 | 30.73 | 62.0 |
| 1 1 0 | 19.74 | 23.0 |
| 3 -2 8 | 52.14 | 22.6 |
| 3 0 0 | 34.54 | 21.9 |
| 6 -3 3 | 64.14 | 17.6 |
| 2 2 3 | 43.13 | 15.7 |
| 6 -5 2 | 67.80 | 13.0 |
| 1 4 0 | 53.93 | 11.6 |



9.
Structure and simulated powder diffractogram of YHo5Te8 (the GGA-PBE geometry in Alexandria; a wavelength of 1.5418 Å).

Structure:
Lattice parameters (Å, degrees): 12.7608 12.7608 12.7608 90.00 90.00 90.00
Space group F-43m (No. 216)
One atom of each set of equivalent atoms:
1 Y 0.0000 0.0000 0.0000 x4
2 Ho 0.1250 0.1250 0.3750 x16
3 Ho 0.2500 0.2500 0.7500 x4
4 Te 0.1174 0.1174 0.6174 x16
5 Te 0.1332 0.1332 0.1332 x16

Main lines, most intense first (2θ from 10° to 90°):
| index | 2θ (°) | I/Imax |
| --- | --- | --- |
| 4 4 0 | 39.97 | 100.0 |
| 4 0 0 | 27.97 | 70.9 |
| 3 1 1 | 23.12 | 56.3 |
| 5 1 1 | 36.59 | 36.0 |
| 8 4 4 | 72.59 | 31.5 |
| 8 4 0 | 65.42 | 22.6 |
| 4 4 4 | 49.49 | 18.5 |
| 1 1 1 | 12.01 | 17.8 |
| 8 0 0 | 57.80 | 16.2 |
| 5 5 3 | 55.30 | 14.1 |



10.
Structure and simulated powder diffractogram of YHo3Te4 (the GGA-PBE geometry in Alexandria; a wavelength of 1.5418 Å).

Structure:
Lattice parameters (Å, degrees): 8.7984 12.2889 4.2879 90.00 90.00 90.00
Space group Cmmm (No. 65)
One atom of each set of equivalent atoms:
1 Y 0.0000 0.0000 0.0000 x2
2 Ho 0.0000 0.5000 0.0000 x2
3 Ho 0.2500 0.2500 0.5000 x4
4 Te 0.0000 0.2509 0.0000 x4
5 Te 0.2483 0.5000 0.5000 x4

Main lines, most intense first (2θ from 10° to 90°):
| index | 2θ (°) | I/Imax |
| --- | --- | --- |
| 2 0 1 | 29.08 | 100.0 |
| 2 4 1 | 41.58 | 50.5 |
| 4 4 2 | 68.28 | 23.0 |
| 4 4 0 | 51.07 | 13.9 |
| 0 4 2 | 52.01 | 13.1 |
| 4 0 0 | 41.03 | 13.1 |
| 4 0 2 | 60.27 | 12.6 |
| 0 0 2 | 42.15 | 12.1 |
| 6 4 1 | 75.13 | 8.7 |
| 2 4 3 | 76.66 | 8.3 |



11.
Structure and simulated powder diffractogram of Ho5Zn2Te2 (the GGA-PBE geometry in Alexandria; a wavelength of 1.5418 Å).

Structure:
Lattice parameters (Å, degrees): 15.3973 7.8834 7.8223 90.00 90.00 90.00
Space group Cmce (No. 64)
One atom of each set of equivalent atoms:
1 Ho 0.0000 0.0000 0.0000 x4
2 Ho 0.1267 0.1662 0.3358 x16
3 Zn 0.0000 0.1274 0.6243 x8
4 Te 0.2051 0.0000 0.0000 x8

Main lines, most intense first (2θ from 10° to 90°):
| index | 2θ (°) | I/Imax |
| --- | --- | --- |
| 4 2 1 | 34.53 | 100.0 |
| 3 1 2 | 30.90 | 84.4 |
| 1 3 1 | 36.54 | 73.0 |
| 1 1 3 | 36.77 | 69.0 |
| 5 1 1 | 33.27 | 64.7 |
| 4 2 0 | 32.51 | 58.8 |
| 4 0 2 | 32.64 | 56.5 |
| 0 2 2 | 32.24 | 55.4 |
| 0 2 1 | 25.30 | 48.4 |
| 5 1 2 | 38.94 | 39.6 |



12.
Structure and simulated powder diffractogram of Ho4ZnTe2 (the GGA-PBE geometry in Alexandria; a wavelength of 1.5418 Å).

Structure:
Lattice parameters (Å, degrees): 7.6521 11.9473 4.4638 90.00 90.00 90.00
Space group Pbam (No. 55)
One atom of each set of equivalent atoms:
1 Ho 0.1414 0.2126 0.0000 x4
2 Ho 0.2066 0.9412 0.5000 x4
3 Zn 0.0000 0.0000 0.0000 x2
4 Te 0.0805 0.6727 0.5000 x4

Main lines, most intense first (2θ from 10° to 90°):
| index | 2θ (°) | I/Imax |
| --- | --- | --- |
| 2 1 1 | 31.70 | 100.0 |
| 1 4 0 | 32.17 | 61.2 |
| 2 2 1 | 34.33 | 44.2 |
| 0 0 2 | 40.41 | 39.3 |
| 1 4 2 | 52.56 | 31.6 |
| 1 3 1 | 32.32 | 30.6 |
| 0 2 1 | 24.90 | 30.1 |
| 1 6 1 | 51.69 | 24.2 |
| 1 2 1 | 27.53 | 23.7 |
| 1 5 1 | 44.61 | 22.9 |



Please write out number 3 again, unchanged.
Structure and simulated powder diffractogram of HoTm4Te2 (the GGA-PBE geometry in Alexandria; a wavelength of 1.5418 Å).

Structure:
Lattice parameters (Å, degrees): 5.3668 5.3668 26.3527 90.00 90.00 120.00
Space group R-3m (No. 166, hexagonal axes)
One atom of each set of equivalent atoms:
1 Ho 0.0000 0.0000 0.0000 x3
2 Tm 0.0000 0.0000 0.2363 x6
3 Tm 0.0000 0.0000 0.3656 x6
4 Te 0.0000 0.0000 0.1185 x6

Main lines, most intense first (2θ from 10° to 90°):
| index | 2θ (°) | I/Imax |
| --- | --- | --- |
| 1 1 0 | 33.37 | 100.0 |
| 3 0 0 | 59.66 | 27.2 |
| 2 0 8 | 47.91 | 16.0 |
| 1 1 9 | 45.87 | 12.5 |
| 3 1 8 | 79.89 | 10.2 |
| 0 0 3 | 10.07 | 10.1 |
| 0 0 9 | 30.54 | 8.8 |
| 0 1 17 | 63.25 | 8.2 |
| 2 2 0 | 70.14 | 6.6 |
| 1 2 17 | 83.10 | 6.2 |